Record 1
Calculated powder X-ray diffraction pattern of CaPmCu2Sn2 for Cu Kα, 1.54184 Å, from a cell relaxed with GGA-PBE.
Intensities are scaled so that the largest is 100.

Cell and atoms:
Cell lengths 4.5819, 4.5819, 7.6834 Å; angles 90.00, 90.00, 120.00 degrees
Element x y z (fractional)
Ca 0.0000 0.0000 0.0000
Pm 0.0000 0.0000 0.5000
Cu 0.3333 0.6667 0.7484
Cu 0.6667 0.3333 0.2516
Sn 0.3333 0.6667 0.2571
Sn 0.6667 0.3333 0.7429

Largest 6 diffraction maxima, in order of falling intensity, 2θ from 15° to 90°:
2θ/deg  I (rel.)
32.44  100
39.33  67
63.17  36
51.87  26
66.98  24
25.26  23



Record 2
Calculated powder X-ray diffraction pattern of Y3Zn2Ag4 for Cu Kα, 1.54184 Å, from a cell relaxed with GGA-PBE.
Intensities are scaled so that the largest is 100.

Cell and atoms:
Cell lengths 5.8252, 5.8252, 8.8496 Å; angles 115.44, 115.44, 47.04 degrees
Element x y z (fractional)
Y 0.0000 0.0000 0.0000
Y 0.3328 0.3328 0.3365
Y 0.6672 0.6672 0.6635
Zn 0.3918 0.3918 0.7220
Zn 0.6082 0.6082 0.2780
Ag 0.0551 0.0551 0.3835
Ag 0.2817 0.2817 0.9379
Ag 0.7183 0.7183 0.0621
Ag 0.9449 0.9449 0.6165

Largest 6 diffraction maxima, in order of falling intensity, 2θ from 15° to 90°:
2θ/deg  I (rel.)
38.21  100
34.42  89
34.54  58
38.74  49
34.17  28
26.23  20



Record 3
Calculated powder X-ray diffraction pattern of TmMn2B2 for Cu Kα, 1.54184 Å, from a cell relaxed with GGA-PBE.
Intensities are scaled so that the largest is 100.

Cell and atoms:
Cell lengths 3.4526, 3.4526, 4.7251 Å; angles 90.00, 90.00, 90.00 degrees
Element x y z (fractional)
Tm 0.0000 0.0000 0.0000
Mn 0.0000 0.5000 0.5000
Mn 0.5000 0.0000 0.5000
B 0.5000 0.5000 0.1952
B 0.5000 0.5000 0.8048

Largest 6 diffraction maxima, in order of falling intensity, 2θ from 15° to 90°:
2θ/deg  I (rel.)
41.64  100
32.11  66
25.80  49
46.58  29
38.09  29
53.05  26



Record 4
Calculated powder X-ray diffraction pattern of Mg4Ir for Cu Kα, 1.54184 Å, from a cell relaxed with GGA-PBE.
Intensities are scaled so that the largest is 100.

Cell and atoms:
Cell lengths 5.4983, 8.0102, 4.6694 Å; angles 90.00, 90.00, 90.00 degrees
Element x y z (fractional)
Mg 0.0832 0.1731 0.0000
Mg 0.2277 0.4222 0.5000
Mg 0.2723 0.9222 0.5000
Mg 0.4168 0.6731 0.0000
Mg 0.5832 0.3269 0.0000
Mg 0.7277 0.0778 0.5000
Mg 0.7723 0.5778 0.5000
Mg 0.9168 0.8269 0.0000
Ir 0.0000 0.5000 0.0000
Ir 0.5000 0.0000 0.0000

Largest 6 diffraction maxima, in order of falling intensity, 2θ from 15° to 90°:
2θ/deg  I (rel.)
19.58  100
27.42  77
19.01  63
42.32  50
37.98  44
22.20  44



Record 5
Calculated powder X-ray diffraction pattern of BeCuAs for Cu Kα, 1.54184 Å, from a cell relaxed with GGA-PBE.
Intensities are scaled so that the largest is 100.

Cell and atoms:
Cell lengths 4.0075, 6.9412, 6.4331 Å; angles 90.00, 90.00, 90.00 degrees
Element x y z (fractional)
Be 0.0000 0.1676 0.0000
Be 0.0000 0.8324 0.5000
Be 0.5000 0.3324 0.5000
Be 0.5000 0.6676 0.0000
Cu 0.0000 0.4994 0.4427
Cu 0.0000 0.5006 0.9427
Cu 0.5000 0.0006 0.9427
Cu 0.5000 0.9994 0.4427
As 0.0000 0.1657 0.3500
As 0.0000 0.8343 0.8500
As 0.5000 0.3343 0.8500
As 0.5000 0.6657 0.3500

Largest 6 diffraction maxima, in order of falling intensity, 2θ from 15° to 90°:
2θ/deg  I (rel.)
29.24  100
45.26  84
27.73  73
53.91  65
38.15  45
50.00  28



Record 6
Calculated powder X-ray diffraction pattern of Ag4Cl5 for Cu Kα, 1.54184 Å, from a cell relaxed with GGA-PBE.
Intensities are scaled so that the largest is 100.

Cell and atoms:
Cell lengths 4.1012, 6.8185, 8.4414 Å; angles 94.20, 100.19, 97.26 degrees
Element x y z (fractional)
Ag 0.1767 0.2684 0.0921
Ag 0.1856 0.7754 0.4176
Ag 0.8144 0.2246 0.5824
Ag 0.8233 0.7316 0.9079
Cl 0.1358 0.4373 0.8243
Cl 0.2550 0.1754 0.3851
Cl 0.5000 0.0000 0.0000
Cl 0.7450 0.8246 0.6149
Cl 0.8642 0.5627 0.1757

Largest 6 diffraction maxima, in order of falling intensity, 2θ from 15° to 90°:
2θ/deg  I (rel.)
24.13  100
26.50  99
31.61  63
27.50  59
45.19  53
25.33  52



Record 7
Calculated powder X-ray diffraction pattern of CaAcHo2Tl4 for Cu Kα, 1.54184 Å, from a cell relaxed with GGA-PBE.
Intensities are scaled so that the largest is 100.

Cell and atoms:
Cell lengths 9.6832, 9.6832, 9.6832 Å; angles 32.97, 32.97, 32.97 degrees
Element x y z (fractional)
Ca 0.0000 0.0000 0.0000
Ac 0.5000 0.5000 0.5000
Ho 0.2536 0.2536 0.2536
Ho 0.7464 0.7464 0.7464
Tl 0.1212 0.1212 0.1212
Tl 0.3722 0.3722 0.3722
Tl 0.6278 0.6278 0.6278
Tl 0.8788 0.8788 0.8788

Largest 6 diffraction maxima, in order of falling intensity, 2θ from 15° to 90°:
2θ/deg  I (rel.)
32.16  100
32.59  99
57.89  38
46.44  37
58.15  19
57.07  19



Record 8
Calculated powder X-ray diffraction pattern of BaAs2IrO8 for Cu Kα, 1.54184 Å, from a cell relaxed with GGA-PBE.
Intensities are scaled so that the largest is 100.

Cell and atoms:
Cell lengths 8.7539, 8.7539, 8.7539 Å; angles 34.20, 34.20, 34.20 degrees
Element x y z (fractional)
Ba 0.0000 0.0000 0.0000
As 0.2403 0.2403 0.2403
As 0.7597 0.7597 0.7597
Ir 0.5000 0.5000 0.5000
O 0.1311 0.4943 0.7113
O 0.2887 0.5057 0.8689
O 0.3092 0.3092 0.3092
O 0.4943 0.7113 0.1311
O 0.5057 0.8689 0.2887
O 0.6908 0.6908 0.6908
O 0.7113 0.1311 0.4943
O 0.8689 0.2887 0.5057

Largest 6 diffraction maxima, in order of falling intensity, 2θ from 15° to 90°:
2θ/deg  I (rel.)
24.63  100
34.86  37
35.36  27
56.62  19
43.15  18
57.31  16